This entry pairs a crystal structure of Zn2Co2O5 with its theoretical powder diffractogram. Radiation: copper Kα. Structure: a crystal structure in Alexandria, relaxed with PBE+U.
Kinematic intensities with the Lorentz-polarization factor, no thermal factor.

```
Zn2Co2O5
1.0
3.2598 0.0000 0.0000
0.0000 10.5577 0.0000
0.0000 0.0000 6.8825
Zn Co O
4 4 10
Direct
0.0000 0.1284 0.0000
0.0000 0.3672 0.7670
0.0000 0.6328 0.2670
0.0000 0.8716 0.5000
0.5000 0.1332 0.5685
0.5000 0.3667 0.2054
0.5000 0.6333 0.7054
0.5000 0.8668 0.0685
0.0000 0.1772 0.7059
0.0000 0.3160 0.0580
0.0000 0.6840 0.5580
0.0000 0.8228 0.2059
0.5000 0.0397 0.0628
0.5000 0.2617 0.4005
0.5000 0.4613 0.7164
0.5000 0.5387 0.2164
0.5000 0.7383 0.9005
0.5000 0.9603 0.5628
```

The 10 most intense peaks (15° ≤ 2θ ≤ 90°), by angle:
| h k l | 2θ/deg | Rel. int. |
| --- | --- | --- |
| 0 1 2 | 27.26 | 100 |
| 1 1 1 | 31.53 | 91 |
| 0 4 0 | 33.96 | 49 |
| 1 2 1 | 34.88 | 98 |
| 0 3 2 | 36.51 | 35 |
| 0 2 3 | 42.99 | 22 |
| 1 1 3 | 49.33 | 29 |
| 2 0 0 | 56.46 | 22 |
| 1 6 1 | 61.37 | 33 |
| 1 5 3 | 66.69 | 22 |